Entry 1:
Computed X-ray powder pattern
Compound: Rb2H6IrPb
Radiation: Cu Kα (weighted mean of Kα1 and Kα2)
Structure: a cell relaxed with GGA-PBE
Peak positions follow from Bragg's law for the DFT cell and can differ from measured ones.

Most intense lines, 10 to 90 degrees two-theta, most intense first:
2θ = 17.12°, 5.179 Å, rel. 100; 2θ = 33.15°, 2.703 Å, rel. 90; 2θ = 29.88°, 2.990 Å, rel. 89; 2θ = 55.15°, 1.665 Å, rel. 43; 2θ = 45.22°, 2.005 Å, rel. 38; 2θ = 22.17°, 4.010 Å, rel. 23; 2θ = 61.16°, 1.515 Å, rel. 23; 2θ = 41.53°, 2.175 Å, rel. 22; 2θ = 53.05°, 1.726 Å, rel. 22; 2θ = 72.21°, 1.308 Å, rel. 19; 2θ = 34.64°, 2.590 Å, rel. 17; 2θ = 46.39°, 1.957 Å, rel. 17

Atomic structure:
Cell: 5.9805 5.9805 6.3368 Å, 90.00 90.00 120.00°
Positions (direct):
Rb  0.3333  0.6667  0.1669
Rb  0.6667  0.3333  0.8331
H  0.1322  0.2645  0.8415
H  0.1322  0.8678  0.8415
H  0.2645  0.1322  0.1585
H  0.7355  0.8678  0.8415
H  0.8678  0.1322  0.1585
H  0.8678  0.7355  0.1585
Ir  0.0000  0.0000  0.0000
Pb  0.0000  0.0000  0.5000

***

Entry 2:
Computed X-ray powder pattern
Compound: ZnH8Ir2Pb
Radiation: Cu Kα (weighted mean of Kα1 and Kα2)
Structure: a cell relaxed with GGA-PBE
Peak positions follow from Bragg's law for the DFT cell and can differ from measured ones.

Most intense lines, 10 to 90 degrees two-theta, most intense first:
2θ = 30.02°, 2.976 Å, rel. 100; 2θ = 37.43°, 2.403 Å, rel. 88; 2θ = 34.01°, 2.636 Å, rel. 57; 2θ = 21.99°, 4.043 Å, rel. 33; 2θ = 48.70°, 1.870 Å, rel. 26; 2θ = 63.00°, 1.476 Å, rel. 25; 2θ = 62.46°, 1.487 Å, rel. 25; 2θ = 65.34°, 1.428 Å, rel. 18; 2θ = 51.46°, 1.776 Å, rel. 18; 2θ = 67.52°, 1.387 Å, rel. 16; 2θ = 58.55°, 1.577 Å, rel. 13; 2θ = 48.04°, 1.894 Å, rel. 13

Atomic structure:
Cell: 6.3198 6.3198 6.3198 Å, 44.69 44.69 44.69°
Positions (direct):
Zn  0.0000  0.0000  0.0000
H  0.0676  0.0676  0.6158
H  0.0676  0.6158  0.0676
H  0.1915  0.1915  0.1915
H  0.3842  0.9324  0.9324
H  0.6158  0.0676  0.0676
H  0.8085  0.8085  0.8085
H  0.9324  0.3842  0.9324
H  0.9324  0.9324  0.3842
Ir  0.2843  0.2843  0.2843
Ir  0.7157  0.7157  0.7157
Pb  0.5000  0.5000  0.5000

***

Entry 3:
Computed X-ray powder pattern
Compound: Pr2H6IrPd
Radiation: Cu Kα (weighted mean of Kα1 and Kα2)
Structure: a cell relaxed with GGA-PBE
Peak positions follow from Bragg's law for the DFT cell and can differ from measured ones.

Most intense lines, 10 to 90 degrees two-theta, most intense first:
2θ = 33.15°, 2.702 Å, rel. 100; 2θ = 33.30°, 2.691 Å, rel. 99; 2θ = 33.44°, 2.680 Å, rel. 98; 2θ = 59.23°, 1.560 Å, rel. 38; 2θ = 59.50°, 1.554 Å, rel. 38; 2θ = 59.78°, 1.547 Å, rel. 37; 2θ = 47.38°, 1.919 Å, rel. 19; 2θ = 47.80°, 1.903 Å, rel. 19; 2θ = 48.23°, 1.887 Å, rel. 18; 2θ = 79.00°, 1.212 Å, rel. 17; 2θ = 80.37°, 1.195 Å, rel. 16; 2θ = 89.14°, 1.099 Å, rel. 13

Atomic structure:
Cell: 5.4048 5.3821 5.3595 Å, 60.42 60.00 59.58°
Positions (direct):
Pr  0.2500  0.2500  0.2500
Pr  0.7500  0.7500  0.7500
H  0.2326  0.2326  0.7674
H  0.2340  0.7660  0.2340
H  0.2357  0.7643  0.7643
H  0.7643  0.2357  0.2357
H  0.7660  0.2340  0.7660
H  0.7674  0.7674  0.2326
Ir  0.0000  0.0000  0.0000
Pd  0.5000  0.5000  0.5000

***

Entry 4:
Computed X-ray powder pattern
Compound: H8IrPd2Pt
Radiation: Cu Kα (weighted mean of Kα1 and Kα2)
Structure: a cell relaxed with GGA-PBE
Peak positions follow from Bragg's law for the DFT cell and can differ from measured ones.

Most intense lines, 10 to 90 degrees two-theta, most intense first:
2θ = 30.34°, 2.946 Å, rel. 100; 2θ = 30.51°, 2.930 Å, rel. 90; 2θ = 36.02°, 2.494 Å, rel. 61; 2θ = 36.60°, 2.455 Å, rel. 58; 2θ = 42.61°, 2.122 Å, rel. 39; 2θ = 42.89°, 2.109 Å, rel. 37; 2θ = 43.80°, 2.067 Å, rel. 33; 2θ = 43.34°, 2.088 Å, rel. 33; 2θ = 63.11°, 1.473 Å, rel. 22; 2θ = 52.57°, 1.741 Å, rel. 21; 2θ = 53.20°, 1.722 Å, rel. 21; 2θ = 67.12°, 1.395 Å, rel. 20

Atomic structure:
Cell: 4.1893 4.2487 5.5991 Å, 79.35 80.69 87.99°
Positions (direct):
H  0.1895  0.1900  0.2000
H  0.1968  0.1900  0.7077
H  0.2857  0.6929  0.9650
H  0.3041  0.6997  0.5309
H  0.6959  0.3003  0.4691
H  0.7143  0.3071  0.0350
H  0.8032  0.8100  0.2923
H  0.8105  0.8100  0.8000
Ir  0.0000  0.0000  0.0000
Pd  0.4646  0.5429  0.2469
Pd  0.5354  0.4571  0.7531
Pt  0.0000  0.0000  0.5000

***

Entry 5:
Computed X-ray powder pattern
Compound: ScH8Ir2Pd
Radiation: Cu Kα (weighted mean of Kα1 and Kα2)
Structure: a cell relaxed with GGA-PBE
Peak positions follow from Bragg's law for the DFT cell and can differ from measured ones.

Most intense lines, 10 to 90 degrees two-theta, most intense first:
2θ = 32.42°, 2.762 Å, rel. 100; 2θ = 37.20°, 2.417 Å, rel. 68; 2θ = 15.82°, 5.603 Å, rel. 49; 2θ = 41.53°, 2.174 Å, rel. 32; 2θ = 29.72°, 3.006 Å, rel. 30; 2θ = 21.15°, 4.200 Å, rel. 27; 2θ = 43.07°, 2.100 Å, rel. 22; 2θ = 46.93°, 1.936 Å, rel. 20; 2θ = 27.40°, 3.255 Å, rel. 18; 2θ = 43.72°, 2.071 Å, rel. 16; 2θ = 44.87°, 2.020 Å, rel. 16; 2θ = 46.06°, 1.970 Å, rel. 15

Atomic structure:
Cell: 5.0434 5.0434 6.2126 Å, 113.51 113.51 45.15°
Positions (direct):
Sc  0.0000  0.0000  0.0000
H  0.1006  0.6002  0.2431
H  0.1804  0.1804  0.3588
H  0.3751  0.3751  0.9727
H  0.3998  0.8994  0.7569
H  0.6002  0.1006  0.2431
H  0.6249  0.6249  0.0273
H  0.8196  0.8196  0.6412
H  0.8994  0.3998  0.7569
Ir  0.2651  0.2651  0.6841
Ir  0.7349  0.7349  0.3160
Pd  0.5000  0.5000  0.5000

***

Entry 6:
Computed X-ray powder pattern
Compound: SmH6IrPd2
Radiation: Cu Kα (weighted mean of Kα1 and Kα2)
Structure: a cell relaxed with GGA-PBE
Peak positions follow from Bragg's law for the DFT cell and can differ from measured ones.

Most intense lines, 10 to 90 degrees two-theta, most intense first:
2θ = 33.90°, 2.644 Å, rel. 100; 2θ = 39.01°, 2.309 Å, rel. 18; 2θ = 40.40°, 2.233 Å, rel. 16; 2θ = 67.42°, 1.389 Å, rel. 14; 2θ = 38.60°, 2.332 Å, rel. 13; 2θ = 69.32°, 1.356 Å, rel. 13; 2θ = 57.41°, 1.605 Å, rel. 12; 2θ = 57.10°, 1.613 Å, rel. 11; 2θ = 56.05°, 1.641 Å, rel. 9; 2θ = 71.33°, 1.322 Å, rel. 9; 2θ = 66.86°, 1.399 Å, rel. 7; 2θ = 27.17°, 3.282 Å, rel. 6

Atomic structure:
Cell: 4.6176 4.6646 10.0497 Å, 90.00 117.29 90.00°
Positions (direct):
Sm  0.0000  0.0000  0.0000
Sm  0.0000  0.5000  0.5000
H  0.1216  0.1309  0.3648
H  0.1216  0.3691  0.8648
H  0.3924  0.6319  0.1354
H  0.3924  0.8681  0.6354
H  0.4143  0.6744  0.4136
H  0.4143  0.8256  0.9136
H  0.5857  0.1744  0.0864
H  0.5857  0.3256  0.5864
H  0.6076  0.1319  0.3646
H  0.6076  0.3681  0.8646
H  0.8784  0.6309  0.1352
H  0.8784  0.8691  0.6352
Ir  0.5000  0.0000  0.5000
Ir  0.5000  0.5000  0.0000
Pd  0.2493  0.0749  0.7494
Pd  0.2493  0.4251  0.2494
Pd  0.7507  0.5749  0.7506
Pd  0.7507  0.9251  0.2506